Simulated X-ray powder pattern
Compound: B
Radiation: λ = 1.5418 Å (Cu Kα)
Structure: the GGA-PBE geometry in the Materials Project
No peak broadening, texture or thermal motion is included.

Cell and atoms:
```
48
Lattice="7.293 0.000 0.000 0.000 7.293 0.000 0.000 0.000 7.293" Properties=species:S:1:pos:R:3 pbc="T T T"
B 0.000 0.903 1.443
B 0.000 0.903 5.850
B 0.000 2.055 2.689
B 0.000 2.055 4.603
B 0.000 5.238 2.689
B 0.000 5.238 4.603
B 0.000 6.390 1.443
B 0.000 6.390 5.850
B 0.903 1.443 0.000
B 0.903 5.850 0.000
B 1.030 3.646 2.620
B 1.030 3.646 4.673
B 1.411 2.233 3.646
B 1.411 5.060 3.646
B 1.443 0.000 0.903
B 1.443 0.000 6.390
B 2.055 2.689 0.000
B 2.055 4.603 0.000
B 2.233 3.646 1.411
B 2.233 3.646 5.882
B 2.620 1.030 3.646
B 2.620 6.262 3.646
B 2.689 0.000 2.055
B 2.689 0.000 5.238
B 3.646 1.411 2.233
B 3.646 1.411 5.060
B 3.646 2.620 1.030
B 3.646 2.620 6.262
B 3.646 4.673 1.030
B 3.646 4.673 6.262
B 3.646 5.882 2.233
B 3.646 5.882 5.060
B 4.603 0.000 2.055
B 4.603 0.000 5.238
B 4.673 1.030 3.646
B 4.673 6.262 3.646
B 5.060 3.646 1.411
B 5.060 3.646 5.882
B 5.238 2.689 0.000
B 5.238 4.603 0.000
B 5.850 0.000 0.903
B 5.850 0.000 6.390
B 5.882 2.233 3.646
B 5.882 5.060 3.646
B 6.262 3.646 2.620
B 6.262 3.646 4.673
B 6.390 1.443 0.000
B 6.390 5.850 0.000
```

Top 8 peaks for 2θ from 15° to 90°, most intense first:
two_theta, I/Imax, index
21.10, 100, 1 1 1
34.79, 36, 2 2 0
41.05, 21, 3 1 1
66.63, 19, 3 3 3
27.34, 16, 2 1 0
69.40, 15, 4 3 2
65.23, 10, 5 1 0
57.95, 9, 4 2 1